1.
Diffraction record for Nd2Fe2Si2C. The powder diffractogram is simulated, not measured: it uses DFT lattice parameters and positions (GGA-PBE) and Cu Kα.
Lines closer than 0.1° are merged.

Cell and atoms:
Unit cell a=10.8139 b=3.9989 c=6.9711 alpha=90.00 beta=128.60 gamma=90.00
Fractional coordinates of all 14 atoms:
Nd (0.0584, 0.0000, 0.2992)
Nd (0.4416, 0.5000, 0.7008)
Nd (0.5584, 0.5000, 0.2992)
Nd (0.9416, 0.0000, 0.7008)
Fe (0.1956, 0.5000, 0.0878)
Fe (0.3044, 0.0000, 0.9122)
Fe (0.6956, 0.0000, 0.0878)
Fe (0.8044, 0.5000, 0.9122)
Si (0.1768, 0.5000, 0.7393)
Si (0.3232, 0.0000, 0.2607)
Si (0.6768, 0.0000, 0.7393)
Si (0.8232, 0.5000, 0.2607)
C (0.0000, 0.5000, 0.0000)
C (0.5000, 0.0000, 0.0000)

The 12 most intense peaks (2θ from 10° to 80°), by intensity:
| 2theta | d_spacing | I (rel.) |
| --- | --- | --- |
| 35.6 | 2.523 | 1000 |
| 33.6 | 2.664 | 685 |
| 24.6 | 3.615 | 621 |
| 39.1 | 2.303 | 389 |
| 33.2 | 2.698 | 373 |
| 45.4 | 1.999 | 368 |
| 34.0 | 2.636 | 355 |
| 25.6 | 3.484 | 334 |
| 36.0 | 2.495 | 309 |
| 34.7 | 2.588 | 300 |
| 33.8 | 2.654 | 267 |
| 40.5 | 2.225 | 222 |


2.
Diffraction record for Pr2Fe17C3. The powder diffractogram is simulated, not measured: it uses DFT lattice parameters and positions (GGA-PBE) and Cu Kα.
Lines closer than 0.1° are merged.

Cell and atoms:
Unit cell a=6.5621 b=6.5621 c=6.5621 alpha=84.08 beta=84.08 gamma=84.08
Fractional coordinates of all 22 atoms:
Pr (0.1550, 0.1550, 0.1550)
Pr (0.8450, 0.8450, 0.8450)
Fe (0.0000, 0.5000, 0.5000)
Fe (0.1590, 0.1590, 0.6413)
Fe (0.1590, 0.6413, 0.1590)
Fe (0.2158, 0.5000, 0.7842)
Fe (0.2158, 0.7842, 0.5000)
Fe (0.3587, 0.8410, 0.8410)
Fe (0.4055, 0.4055, 0.4055)
Fe (0.5000, 0.0000, 0.5000)
Fe (0.5000, 0.2158, 0.7842)
Fe (0.5000, 0.5000, 0.0000)
Fe (0.5000, 0.7842, 0.2158)
Fe (0.5945, 0.5945, 0.5945)
Fe (0.6413, 0.1590, 0.1590)
Fe (0.7842, 0.2158, 0.5000)
Fe (0.7842, 0.5000, 0.2158)
Fe (0.8410, 0.3587, 0.8410)
Fe (0.8410, 0.8410, 0.3587)
C (0.0000, 0.0000, 0.5000)
C (0.0000, 0.5000, 0.0000)
C (0.5000, 0.0000, 0.0000)

The 12 most intense peaks (2θ from 10° to 80°), by intensity:
| 2theta | d_spacing | I (rel.) |
| --- | --- | --- |
| 41.7 | 2.166 | 1000 |
| 41.1 | 2.197 | 764 |
| 35.4 | 2.537 | 390 |
| 29.6 | 3.021 | 364 |
| 43.5 | 2.081 | 338 |
| 37.3 | 2.413 | 304 |
| 46.8 | 1.943 | 202 |
| 61.4 | 1.511 | 197 |
| 42.7 | 2.115 | 196 |
| 60.0 | 1.542 | 191 |
| 74.9 | 1.268 | 170 |
| 78.6 | 1.217 | 145 |


3.
Diffraction record for Pr2Fe20Si2C. The powder diffractogram is simulated, not measured: it uses DFT lattice parameters and positions (GGA-PBE) and Cu Kα.
Lines closer than 0.1° are merged.

Cell and atoms:
Unit cell a=6.4043 b=7.8093 c=7.8171 alpha=79.78 beta=66.14 gamma=65.93
Fractional coordinates of all 25 atoms:
Pr (0.1289, 0.2459, 0.2511)
Pr (0.8711, 0.7541, 0.7489)
Fe (0.0000, 0.0000, 0.0000)
Fe (0.0628, 0.0786, 0.6676)
Fe (0.0650, 0.6747, 0.0829)
Fe (0.2289, 0.5823, 0.3327)
Fe (0.2388, 0.3253, 0.5786)
Fe (0.3141, 0.8289, 0.4195)
Fe (0.3227, 0.4193, 0.8235)
Fe (0.3565, 0.0774, 0.8240)
Fe (0.3579, 0.8315, 0.0804)
Fe (0.3776, 0.7512, 0.7481)
Fe (0.5000, 0.5000, 0.0000)
Fe (0.6224, 0.2488, 0.2519)
Fe (0.6421, 0.1685, 0.9196)
Fe (0.6435, 0.9226, 0.1760)
Fe (0.6773, 0.5807, 0.1765)
Fe (0.6859, 0.1711, 0.5805)
Fe (0.7612, 0.6747, 0.4214)
Fe (0.7711, 0.4177, 0.6673)
Fe (0.9350, 0.3253, 0.9171)
Fe (0.9372, 0.9214, 0.3324)
Si (0.5000, 0.0000, 0.5000)
Si (0.5000, 0.5000, 0.5000)
C (0.0000, 0.5000, 0.0000)

The 12 most intense peaks (2θ from 10° to 80°), by intensity:
| 2theta | d_spacing | I (rel.) |
| --- | --- | --- |
| 40.0 | 2.251 | 1000 |
| 39.8 | 2.263 | 703 |
| 39.7 | 2.271 | 545 |
| 39.6 | 2.275 | 356 |
| 40.2 | 2.245 | 325 |
| 34.9 | 2.568 | 297 |
| 43.3 | 2.090 | 267 |
| 43.4 | 2.087 | 232 |
| 35.1 | 2.557 | 198 |
| 30.6 | 2.918 | 191 |
| 49.4 | 1.846 | 178 |
| 24.9 | 3.569 | 177 |


4.
Diffraction record for ScFeC2. The powder diffractogram is simulated, not measured: it uses DFT lattice parameters and positions (GGA-PBE) and Cu Kα.
Lines closer than 0.1° are merged.

Cell and atoms:
Unit cell a=3.3542 b=3.3542 c=7.3150 alpha=90.00 beta=90.00 gamma=90.00
Fractional coordinates of all 8 atoms:
Sc (0.2500, 0.2500, 0.1517)
Sc (0.7500, 0.7500, 0.8483)
Fe (0.2500, 0.7500, 0.5000)
Fe (0.7500, 0.2500, 0.5000)
C (0.2500, 0.2500, 0.6565)
C (0.2500, 0.2500, 0.8499)
C (0.7500, 0.7500, 0.1501)
C (0.7500, 0.7500, 0.3435)

The 12 most intense peaks (2θ from 10° to 80°), by intensity:
| 2theta | d_spacing | I (rel.) |
| --- | --- | --- |
| 40.0 | 2.256 | 1000 |
| 12.1 | 7.315 | 698 |
| 45.6 | 1.990 | 593 |
| 36.9 | 2.438 | 451 |
| 54.7 | 1.677 | 372 |
| 64.3 | 1.448 | 338 |
| 36.3 | 2.472 | 318 |
| 67.8 | 1.382 | 257 |
| 24.3 | 3.657 | 173 |
| 29.3 | 3.049 | 108 |
| 67.5 | 1.388 | 87 |
| 76.5 | 1.245 | 61 |


5.
Diffraction record for SmFe2SiC. The powder diffractogram is simulated, not measured: it uses DFT lattice parameters and positions (GGA-PBE) and Cu Kα.
Lines closer than 0.1° are merged.

Cell and atoms:
Unit cell a=5.5806 b=5.5806 c=6.7602 alpha=90.00 beta=90.00 gamma=139.67
Fractional coordinates of all 10 atoms:
Sm (0.0528, 0.9472, 0.7500)
Sm (0.9472, 0.0528, 0.2500)
Fe (0.3345, 0.6655, 0.5636)
Fe (0.3345, 0.6655, 0.9364)
Fe (0.6655, 0.3345, 0.0636)
Fe (0.6655, 0.3345, 0.4364)
Si (0.2285, 0.7715, 0.2500)
Si (0.7715, 0.2285, 0.7500)
C (0.5000, 0.5000, 0.0000)
C (0.5000, 0.5000, 0.5000)

The 12 most intense peaks (2θ from 10° to 80°), by intensity:
| 2theta | d_spacing | I (rel.) |
| --- | --- | --- |
| 36.4 | 2.468 | 1000 |
| 37.2 | 2.415 | 561 |
| 36.8 | 2.442 | 492 |
| 34.7 | 2.586 | 464 |
| 43.7 | 2.070 | 313 |
| 47.2 | 1.924 | 280 |
| 31.5 | 2.840 | 269 |
| 65.5 | 1.425 | 219 |
| 61.3 | 1.511 | 216 |
| 24.6 | 3.612 | 184 |
| 28.0 | 3.186 | 183 |
| 54.0 | 1.699 | 183 |


6.
Diffraction record for Sm2Fe15Si2C. The powder diffractogram is simulated, not measured: it uses DFT lattice parameters and positions (GGA-PBE) and Cu Kα.
Lines closer than 0.1° are merged.

Cell and atoms:
Unit cell a=6.4710 b=6.4710 c=6.4745 alpha=97.44 beta=97.44 gamma=82.28
Fractional coordinates of all 20 atoms:
Sm (0.1590, 0.1590, 0.3564)
Sm (0.8410, 0.8410, 0.6436)
Fe (0.0000, 0.5000, 0.0000)
Fe (0.1560, 0.1560, 0.8526)
Fe (0.1615, 0.6517, 0.3412)
Fe (0.2112, 0.5000, 0.7119)
Fe (0.2178, 0.7822, 0.0000)
Fe (0.3483, 0.8385, 0.6588)
Fe (0.5000, 0.0000, 0.0000)
Fe (0.5000, 0.2112, 0.7119)
Fe (0.5000, 0.5000, 0.5000)
Fe (0.5000, 0.7888, 0.2881)
Fe (0.6517, 0.1615, 0.3412)
Fe (0.7822, 0.2178, 0.0000)
Fe (0.7888, 0.5000, 0.2881)
Fe (0.8385, 0.3483, 0.6588)
Fe (0.8440, 0.8440, 0.1474)
Si (0.3985, 0.3985, 0.1011)
Si (0.6015, 0.6015, 0.8989)
C (0.0000, 0.0000, 0.0000)

The 12 most intense peaks (2θ from 10° to 80°), by intensity:
| 2theta | d_spacing | I (rel.) |
| --- | --- | --- |
| 42.6 | 2.123 | 1000 |
| 42.5 | 2.128 | 853 |
| 29.9 | 2.992 | 650 |
| 43.1 | 2.099 | 582 |
| 42.3 | 2.135 | 578 |
| 37.5 | 2.396 | 409 |
| 36.5 | 2.460 | 297 |
| 32.8 | 2.727 | 278 |
| 43.3 | 2.089 | 256 |
| 62.1 | 1.495 | 254 |
| 25.1 | 3.544 | 219 |
| 47.8 | 1.903 | 211 |


7.
Diffraction record for U6Fe16Si7C. The powder diffractogram is simulated, not measured: it uses DFT lattice parameters and positions (GGA-PBE) and Cu Kα.
Lines closer than 0.1° are merged.

Cell and atoms:
Unit cell a=8.2072 b=8.2072 c=8.2072 alpha=60.00 beta=60.00 gamma=60.00
Fractional coordinates of all 30 atoms:
U (0.2143, 0.2143, 0.7857)
U (0.2143, 0.7857, 0.2143)
U (0.2143, 0.7857, 0.7857)
U (0.7857, 0.2143, 0.2143)
U (0.7857, 0.2143, 0.7857)
U (0.7857, 0.7857, 0.2143)
Fe (0.1325, 0.6225, 0.6225)
Fe (0.1749, 0.1749, 0.1749)
Fe (0.1749, 0.1749, 0.4753)
Fe (0.1749, 0.4753, 0.1749)
Fe (0.3775, 0.3775, 0.3775)
Fe (0.3775, 0.3775, 0.8675)
Fe (0.3775, 0.8675, 0.3775)
Fe (0.4753, 0.1749, 0.1749)
Fe (0.5247, 0.8251, 0.8251)
Fe (0.6225, 0.1325, 0.6225)
Fe (0.6225, 0.6225, 0.1325)
Fe (0.6225, 0.6225, 0.6225)
Fe (0.8251, 0.5247, 0.8251)
Fe (0.8251, 0.8251, 0.5247)
Fe (0.8251, 0.8251, 0.8251)
Fe (0.8675, 0.3775, 0.3775)
Si (0.0000, 0.0000, 0.5000)
Si (0.0000, 0.5000, 0.0000)
Si (0.0000, 0.5000, 0.5000)
Si (0.5000, 0.0000, 0.0000)
Si (0.5000, 0.0000, 0.5000)
Si (0.5000, 0.5000, 0.0000)
Si (0.5000, 0.5000, 0.5000)
C (0.0000, 0.0000, 0.0000)

The 12 most intense peaks (2θ from 10° to 80°), by intensity:
| 2theta | d_spacing | I (rel.) |
| --- | --- | --- |
| 26.6 | 3.351 | 1000 |
| 40.4 | 2.234 | 981 |
| 44.1 | 2.052 | 977 |
| 38.0 | 2.369 | 361 |
| 56.6 | 1.625 | 264 |
| 30.8 | 2.902 | 259 |
| 65.9 | 1.418 | 249 |
| 33.7 | 2.663 | 248 |
| 68.6 | 1.368 | 242 |
| 61.4 | 1.511 | 214 |
| 47.0 | 1.934 | 200 |
| 34.6 | 2.595 | 186 |


8.
Diffraction record for Sm4Fe34C3. The powder diffractogram is simulated, not measured: it uses DFT lattice parameters and positions (GGA-PBE) and Cu Kα.
Lines closer than 0.1° are merged.

Cell and atoms:
Unit cell a=6.4802 b=6.4954 c=12.9964 alpha=83.83 beta=83.61 gamma=83.82
Fractional coordinates of all 41 atoms:
Sm (0.1505, 0.1658, 0.0764)
Sm (0.1619, 0.1623, 0.5739)
Sm (0.8381, 0.8377, 0.4261)
Sm (0.8495, 0.8342, 0.9236)
Fe (0.0005, 0.5010, 0.7493)
Fe (0.1558, 0.1592, 0.8214)
Fe (0.1580, 0.1574, 0.3242)
Fe (0.1577, 0.6469, 0.0790)
Fe (0.1579, 0.6509, 0.5780)
Fe (0.2124, 0.5015, 0.3938)
Fe (0.2150, 0.4983, 0.8922)
Fe (0.2158, 0.7853, 0.2503)
Fe (0.2164, 0.7852, 0.7493)
Fe (0.3499, 0.8418, 0.4218)
Fe (0.3548, 0.8415, 0.9214)
Fe (0.4041, 0.4031, 0.2025)
Fe (0.4053, 0.4059, 0.7006)
Fe (0.4983, 0.0012, 0.7488)
Fe (0.4994, 0.7862, 0.1080)
Fe (0.4995, 0.7874, 0.6058)
Fe (0.5000, 0.5000, 0.0000)
Fe (0.5000, 0.5000, 0.5000)
Fe (0.5005, 0.2126, 0.3942)
Fe (0.5006, 0.2138, 0.8920)
Fe (0.5017, 0.9988, 0.2512)
Fe (0.5947, 0.5941, 0.2994)
Fe (0.5959, 0.5969, 0.7975)
Fe (0.6452, 0.1585, 0.0786)
Fe (0.6501, 0.1582, 0.5782)
Fe (0.7836, 0.2148, 0.2507)
Fe (0.7842, 0.2147, 0.7497)
Fe (0.7850, 0.5017, 0.1078)
Fe (0.7876, 0.4985, 0.6062)
Fe (0.8421, 0.3491, 0.4220)
Fe (0.8423, 0.3531, 0.9210)
Fe (0.8420, 0.8426, 0.6758)
Fe (0.8442, 0.8408, 0.1786)
Fe (0.9995, 0.4990, 0.2507)
C (0.0003, 0.0008, 0.2514)
C (0.9997, 0.9992, 0.7486)
C (0.5000, 0.0000, 0.0000)

The 12 most intense peaks (2θ from 10° to 80°), by intensity:
| 2theta | d_spacing | I (rel.) |
| --- | --- | --- |
| 42.3 | 2.138 | 1000 |
| 42.2 | 2.143 | 984 |
| 41.7 | 2.168 | 945 |
| 43.8 | 2.068 | 739 |
| 29.9 | 2.991 | 665 |
| 37.6 | 2.391 | 603 |
| 35.9 | 2.504 | 536 |
| 41.8 | 2.163 | 466 |
| 36.0 | 2.498 | 265 |
| 47.4 | 1.919 | 259 |
| 43.2 | 2.095 | 255 |
| 62.0 | 1.496 | 243 |


9.
Diffraction record for Fe3SnC. The powder diffractogram is simulated, not measured: it uses DFT lattice parameters and positions (GGA-PBE) and Cu Kα.
Lines closer than 0.1° are merged.

Cell and atoms:
Unit cell a=3.8912 b=3.8912 c=3.8912 alpha=90.00 beta=90.00 gamma=90.00
Fractional coordinates of all 5 atoms:
Fe (0.0000, 0.0000, 0.5000)
Fe (0.0000, 0.5000, 0.0000)
Fe (0.5000, 0.0000, 0.0000)
Sn (0.5000, 0.5000, 0.5000)
C (0.0000, 0.0000, 0.0000)

The 9 most intense peaks (2θ from 10° to 80°), by intensity:
| 2theta | d_spacing | I (rel.) |
| --- | --- | --- |
| 40.1 | 2.247 | 1000 |
| 46.7 | 1.946 | 545 |
| 68.2 | 1.376 | 334 |
| 32.5 | 2.751 | 170 |
| 22.9 | 3.891 | 89 |
| 58.1 | 1.589 | 71 |
| 52.6 | 1.740 | 56 |
| 77.6 | 1.230 | 35 |
| 72.9 | 1.297 | 33 |


10.
Diffraction record for Ta6V3Fe3C2. The powder diffractogram is simulated, not measured: it uses DFT lattice parameters and positions (GGA-PBE) and Cu Kα.
Lines closer than 0.1° are merged.

Cell and atoms:
Unit cell a=8.1570 b=8.1570 c=8.1570 alpha=120.31 beta=119.91 gamma=89.81
Fractional coordinates of all 28 atoms:
Ta (0.0000, 0.0000, 0.0000)
Ta (0.0027, 0.0015, 0.6212)
Ta (0.0027, 0.3816, 0.0012)
Ta (0.2470, 0.7470, 0.5000)
Ta (0.2489, 0.1320, 0.4984)
Ta (0.2489, 0.7506, 0.1169)
Ta (0.3803, 0.0015, 0.9988)
Ta (0.3805, 0.3805, 0.0000)
Ta (0.3803, 0.3816, 0.3788)
Ta (0.6337, 0.1320, 0.8831)
Ta (0.6342, 0.1342, 0.5000)
Ta (0.6337, 0.7506, 0.5016)
V (0.0252, 0.3680, 0.6572)
V (0.6130, 0.4540, 0.8410)
V (0.6130, 0.7721, 0.1590)
V (0.6146, 0.7721, 0.8425)
V (0.7108, 0.3680, 0.3428)
V (0.9295, 0.7721, 0.1575)
Fe (0.0258, 0.3661, 0.3403)
Fe (0.0258, 0.6854, 0.6597)
Fe (0.3192, 0.5696, 0.7496)
Fe (0.8183, 0.0717, 0.2534)
Fe (0.8183, 0.5649, 0.7466)
Fe (0.8200, 0.5696, 0.2504)
C (0.3163, 0.0672, 0.2491)
C (0.3171, 0.0645, 0.7474)
C (0.3171, 0.5697, 0.2526)
C (0.8181, 0.0672, 0.7509)

The 12 most intense peaks (2θ from 10° to 80°), by intensity:
| 2theta | d_spacing | I (rel.) |
| --- | --- | --- |
| 40.6 | 2.222 | 1000 |
| 40.8 | 2.214 | 663 |
| 38.2 | 2.357 | 654 |
| 33.9 | 2.647 | 487 |
| 69.1 | 1.359 | 389 |
| 44.4 | 2.040 | 349 |
| 38.3 | 2.347 | 333 |
| 13.3 | 6.657 | 289 |
| 31.1 | 2.879 | 276 |
| 69.0 | 1.361 | 232 |
| 69.3 | 1.356 | 180 |
| 31.0 | 2.889 | 146 |


11.
Diffraction record for Tb2FeC4. The powder diffractogram is simulated, not measured: it uses DFT lattice parameters and positions (GGA-PBE) and Cu Kα.
Lines closer than 0.1° are merged.

Cell and atoms:
Unit cell a=6.6285 b=6.6285 c=6.6285 alpha=111.17 beta=85.93 gamma=135.22
Fractional coordinates of all 14 atoms:
Tb (0.1444, 0.1579, 0.3022)
Tb (0.3556, 0.6579, 0.0135)
Tb (0.6444, 0.3421, 0.9865)
Tb (0.8556, 0.8421, 0.6978)
Fe (0.2500, 0.7500, 0.5000)
Fe (0.7500, 0.2500, 0.5000)
C (0.0776, 0.6643, 0.7419)
C (0.1278, 0.8362, 0.9641)
C (0.3722, 0.3362, 0.7084)
C (0.4224, 0.1643, 0.5867)
C (0.5776, 0.8357, 0.4133)
C (0.6278, 0.6638, 0.2916)
C (0.8722, 0.1638, 0.0359)
C (0.9224, 0.3357, 0.2581)

The 12 most intense peaks (2θ from 10° to 80°), by intensity:
| 2theta | d_spacing | I (rel.) |
| --- | --- | --- |
| 28.2 | 3.170 | 1000 |
| 31.1 | 2.874 | 793 |
| 30.1 | 2.968 | 515 |
| 59.4 | 1.556 | 456 |
| 52.3 | 1.749 | 327 |
| 37.2 | 2.419 | 303 |
| 35.6 | 2.525 | 250 |
| 38.8 | 2.323 | 237 |
| 56.4 | 1.631 | 208 |
| 45.9 | 1.977 | 161 |
| 37.1 | 2.425 | 154 |
| 43.2 | 2.094 | 135 |